Diffraction record for Mn3Fe3Ge2. The X-ray powder pattern is computed, not measured: it uses a cell relaxed with PBE and Cu Ka.
Kinematic intensities with the Lorentz-polarization factor, no thermal factor.

Main lines, low angle first (5° ≤ 2θ ≤ 70°):
two_theta, d [Å], intensity
29.37, 3.041, 30
34.65, 2.589, 9
40.23, 2.242, 251
43.75, 2.069, 262
46.05, 1.971, 1000
54.12, 1.695, 9
56.98, 1.616, 5
60.93, 1.520, 136
66.52, 1.406, 5

Structural model:
```
Mn3Fe3Ge2
1.0
5.177 0.000 0.000
-2.589 4.484 0.000
0.000 0.000 4.138
Mn Fe Ge
3 3 2
Direct
0.173 0.347 0.000
0.173 0.827 0.000
0.653 0.827 0.000
0.013 0.506 0.500
0.494 0.506 0.500
0.494 0.987 0.500
0.000 0.000 0.500
0.667 0.333 0.000
```

=====

Diffraction record for Gd3PbC. The X-ray powder pattern is computed, not measured: it uses a cell relaxed with PBE and Cu Ka.
Kinematic intensities with the Lorentz-polarization factor, no thermal factor.

Main lines, low angle first (5° ≤ 2θ ≤ 70°):
two_theta, d [Å], intensity
15.31, 5.789, 1000
26.67, 3.342, 231
30.89, 2.894, 735
34.65, 2.589, 572
44.26, 2.047, 551
47.10, 1.930, 309
52.42, 1.745, 102
54.95, 1.671, 194
57.39, 1.606, 139
66.61, 1.404, 179

Structural model:
```
Gd3PbC
1.0
5.789 0.000 0.000
0.000 5.789 0.000
0.000 0.000 5.789
Gd Pb C
3 1 1
Direct
0.000 0.000 0.500
0.000 0.500 0.000
0.500 0.000 0.000
0.000 0.000 0.000
0.500 0.500 0.500
```

=====

Diffraction record for Li5SnP3. The X-ray powder pattern is computed, not measured: it uses a cell relaxed with PBE and Cu Ka.
Kinematic intensities with the Lorentz-polarization factor, no thermal factor.

Main lines, low angle first (5° ≤ 2θ ≤ 70°):
two_theta, d [Å], intensity
13.97, 6.341, 764
18.42, 4.816, 851
20.94, 4.243, 604
22.06, 4.029, 545
25.25, 3.527, 363
25.71, 3.465, 529
30.68, 2.914, 230
37.34, 2.408, 275
41.44, 2.179, 210
42.60, 2.122, 1000

Structural model:
```
Li5SnP3
1.0
6.688 -3.004 0.000
6.688 3.004 0.000
-2.703 0.000 8.058
Li Sn P
10 2 6
Direct
0.083 0.577 0.910
0.089 0.579 0.424
0.247 0.753 0.750
0.421 0.911 0.076
0.423 0.917 0.590
0.577 0.083 0.410
0.579 0.089 0.924
0.753 0.247 0.250
0.911 0.421 0.576
0.917 0.423 0.090
0.266 0.734 0.250
0.734 0.266 0.750
0.000 0.000 0.000
0.000 0.000 0.500
0.325 0.345 0.170
0.345 0.325 0.670
0.655 0.675 0.330
0.675 0.655 0.830
```

=====

Diffraction record for Cu3BiSe2ClO8. The X-ray powder pattern is computed, not measured: it uses a cell relaxed with PBE and Cu Ka.
Kinematic intensities with the Lorentz-polarization factor, no thermal factor.

Main lines, low angle first (5° ≤ 2θ ≤ 70°):
two_theta, d [Å], intensity
15.13, 5.856, 665
16.53, 5.364, 976
25.97, 3.432, 1000
29.54, 3.024, 511
30.53, 2.928, 807
30.81, 2.902, 534
33.41, 2.682, 465
35.65, 2.518, 466
39.63, 2.274, 371
53.40, 1.716, 466

Structural model:
```
Cu3BiSe2ClO8
1.0
6.421 0.000 0.000
0.000 9.759 0.000
0.000 0.000 7.321
Cu Bi Se Cl O
6 2 4 2 16
Direct
0.000 0.000 0.000
0.000 0.500 0.000
0.250 0.250 0.206
0.500 0.000 0.000
0.500 0.500 0.000
0.750 0.750 0.794
0.250 0.250 0.752
0.750 0.750 0.248
0.250 0.557 0.391
0.250 0.943 0.391
0.750 0.057 0.609
0.750 0.443 0.609
0.250 0.750 0.849
0.750 0.250 0.151
0.039 0.584 0.245
0.039 0.916 0.245
0.250 0.114 0.009
0.250 0.118 0.412
0.250 0.382 0.412
0.250 0.386 0.009
0.461 0.584 0.245
0.461 0.916 0.245
0.539 0.084 0.755
0.539 0.416 0.755
0.750 0.614 0.991
0.750 0.618 0.588
0.750 0.882 0.588
0.750 0.886 0.991
0.961 0.084 0.755
0.961 0.416 0.755
```

=====

Diffraction record for Mg3Cu2As3O12. The X-ray powder pattern is computed, not measured: it uses a cell relaxed with PBE and Cu Ka.
Kinematic intensities with the Lorentz-polarization factor, no thermal factor.

Main lines, low angle first (5° ≤ 2θ ≤ 70°):
two_theta, d [Å], intensity
19.96, 4.448, 158
21.56, 4.121, 224
24.39, 3.649, 152
27.19, 3.280, 1000
31.81, 2.813, 794
32.25, 2.776, 307
45.10, 2.010, 135
45.72, 1.984, 252
48.03, 1.894, 193
54.13, 1.694, 162

Structural model:
```
Mg3Cu2As3O12
1.0
6.031 -6.524 0.000
6.031 6.524 0.000
-2.666 0.000 6.281
Mg Cu As O
6 4 6 24
Direct
0.129 0.444 0.879
0.243 0.757 0.750
0.444 0.129 0.379
0.556 0.871 0.621
0.757 0.243 0.250
0.871 0.556 0.121
0.003 0.997 0.250
0.500 0.500 0.000
0.500 0.500 0.500
0.997 0.003 0.750
0.150 0.386 0.377
0.213 0.787 0.250
0.386 0.150 0.877
0.614 0.850 0.123
0.787 0.213 0.750
0.850 0.614 0.623
0.005 0.224 0.315
0.012 0.774 0.235
0.096 0.475 0.179
0.166 0.511 0.623
0.224 0.005 0.815
0.226 0.988 0.265
0.249 0.681 0.022
0.319 0.751 0.478
0.328 0.334 0.889
0.334 0.328 0.389
0.475 0.096 0.679
0.489 0.834 0.877
0.511 0.166 0.123
0.525 0.904 0.321
0.666 0.672 0.611
0.672 0.666 0.111
0.681 0.249 0.522
0.751 0.319 0.978
0.774 0.012 0.735
0.776 0.995 0.185
0.834 0.489 0.377
0.904 0.525 0.821
0.988 0.226 0.765
0.995 0.776 0.685
```

=====

Diffraction record for K2La2MgTi2O8. The X-ray powder pattern is computed, not measured: it uses a cell relaxed with PBE and Cu Ka.
Kinematic intensities with the Lorentz-polarization factor, no thermal factor.

Main lines, low angle first (5° ≤ 2θ ≤ 70°):
two_theta, d [Å], intensity
6.73, 13.138, 1000
26.32, 3.386, 287
30.47, 2.933, 667
32.04, 2.793, 505
32.78, 2.732, 179
41.25, 2.188, 245
42.48, 2.128, 277
45.94, 1.975, 355
56.14, 1.638, 240
63.43, 1.466, 153

Structural model:
```
K2La2MgTi2O8
1.0
3.951 0.000 0.000
0.000 3.951 0.000
0.000 0.000 13.138
K La Mg Ti O
2 2 1 2 8
Direct
0.000 0.500 0.135
0.500 0.000 0.865
0.000 0.500 0.395
0.500 0.000 0.605
0.500 0.500 0.000
0.000 0.500 0.742
0.500 0.000 0.258
0.000 0.000 0.272
0.000 0.000 0.728
0.000 0.500 0.573
0.000 0.500 0.918
0.500 0.000 0.082
0.500 0.000 0.427
0.500 0.500 0.269
0.500 0.500 0.731
```

=====

Diffraction record for CeB4Ru4. The X-ray powder pattern is computed, not measured: it uses a cell relaxed with PBE and Cu Ka.
Kinematic intensities with the Lorentz-polarization factor, no thermal factor.

Main lines, low angle first (5° ≤ 2θ ≤ 70°):
two_theta, d [Å], intensity
31.96, 2.800, 668
33.56, 2.670, 183
39.44, 2.285, 424
39.74, 2.268, 1000
40.01, 2.253, 415
43.84, 2.065, 132
47.15, 1.927, 100
63.75, 1.460, 103
64.18, 1.451, 125
64.39, 1.447, 132

Structural model:
```
CeB4Ru4
1.0
-3.758 3.758 7.591
3.758 -3.758 7.591
3.758 3.758 -7.591
Ce B Ru
4 16 16
Direct
0.125 0.375 0.750
0.375 0.125 0.250
0.625 0.875 0.750
0.875 0.625 0.250
0.063 0.125 0.274
0.125 0.351 0.062
0.149 0.375 0.438
0.211 0.937 0.562
0.289 0.851 0.726
0.351 0.789 0.226
0.375 0.437 0.226
0.437 0.711 0.062
0.563 0.289 0.938
0.625 0.563 0.774
0.649 0.211 0.774
0.711 0.149 0.274
0.789 0.063 0.438
0.851 0.625 0.562
0.875 0.649 0.938
0.937 0.875 0.726
0.038 0.822 0.988
0.051 0.038 0.716
0.166 0.678 0.716
0.178 0.666 0.216
0.322 0.538 0.488
0.334 0.051 0.512
0.449 0.166 0.988
0.462 0.449 0.784
0.538 0.551 0.216
0.551 0.834 0.012
0.666 0.949 0.488
0.678 0.462 0.512
0.822 0.334 0.784
0.834 0.322 0.284
0.949 0.962 0.284
0.962 0.178 0.012
```